Structure and simulated X-ray powder pattern of Rb3CaTc2O9 (a DFT-relaxed cell (PBE, Alexandria); a wavelength of 1.5418 Å).
Lines closer than 0.1° are merged.

Cell: 5.8558 5.8558 7.2912 Å, 90.00 90.00 120.00°
Space group P-3m1 (No. 164)
Unique sites:
1 Rb 0.0000 0.0000 0.0000 [1 per cell]
2 Rb 0.3333 0.6667 0.6698 [2 per cell]
3 Ca 0.0000 0.0000 0.5000 [1 per cell]
4 Tc 0.3333 0.6667 0.1634 [2 per cell]
5 O 0.0000 0.5000 0.0000 [3 per cell]
6 O 0.1821 0.3642 0.3026 [6 per cell]

Largest 10 diffraction maxima, in order of falling intensity, 2θ = 10–90°:
2θ 30.2, I 100.0, hkl 0 1 2
2θ 30.5, I 93.8, hkl 1 1 0
2θ 43.5, I 67.3, hkl 2 0 2
2θ 54.1, I 37.5, hkl 1 2 2
2θ 62.8, I 19.9, hkl 0 2 4
2θ 63.6, I 19.7, hkl 2 2 0
2θ 53.4, I 19.1, hkl 1 0 4
2θ 54.3, I 18.0, hkl 3 0 0
2θ 71.4, I 17.7, hkl 2 1 4
2θ 72.0, I 16.9, hkl 3 1 2